No. 1
Calculated X-ray diffraction stick pattern of Nd3CoGe2 for Cu Kα, from a structure optimized by DFT (PBE).

Crystal structure
```
24
Lattice="11.920 0.000 0.000 0.000 4.267 0.000 0.000 0.000 11.539" Properties=species:S:1:pos:R:3 pbc="T T T"
Nd 0.685 1.067 1.479
Nd 1.405 3.200 6.422
Nd 2.614 1.067 9.245
Nd 3.346 3.200 3.476
Nd 4.555 1.067 0.652
Nd 5.275 3.200 7.249
Nd 6.645 1.067 4.290
Nd 7.365 3.200 10.887
Nd 8.574 1.067 8.064
Nd 9.306 3.200 2.294
Nd 10.515 1.067 5.118
Nd 11.235 3.200 10.060
Co 1.579 1.067 4.220
Co 4.381 3.200 9.990
Co 7.539 1.067 1.550
Co 10.341 3.200 7.320
Ge 0.307 3.200 3.640
Ge 2.346 3.200 11.489
Ge 3.614 1.067 5.719
Ge 5.653 1.067 9.410
Ge 6.267 3.200 2.130
Ge 8.306 3.200 5.820
Ge 9.574 1.067 0.051
Ge 11.613 1.067 7.899
```

Main lines, sorted by position (5 to 70 degrees two-theta):
- 26.83 deg, d = 3.322 Å, I 40
- 27.25 deg, d = 3.272 Å, I 46
- 30.06 deg, d = 2.973 Å, I 59
- 30.99 deg, d = 2.885 Å, I 39
- 31.31 deg, d = 2.857 Å, I 98
- 31.74 deg, d = 2.820 Å, I 48
- 31.92 deg, d = 2.804 Å, I 40
- 34.54 deg, d = 2.597 Å, I 100
- 37.63 deg, d = 2.390 Å, I 48
- 42.37 deg, d = 2.133 Å, I 64

=====

No. 2
Calculated X-ray diffraction stick pattern of NdCoGe2 for Cu Kα, from a structure optimized by DFT (PBE).

Crystal structure
```
16
Lattice="4.261 0.000 0.000 0.000 16.642 0.000 0.000 0.000 4.235" Properties=species:S:1:pos:R:3 pbc="T T T"
Nd 0.000 1.789 1.059
Nd 0.000 14.853 3.176
Nd 2.130 6.532 3.176
Nd 2.130 10.110 1.059
Co 0.000 5.272 1.059
Co 0.000 11.370 3.176
Co 2.130 3.049 3.176
Co 2.130 13.593 1.059
Ge 0.000 4.165 3.176
Ge 0.000 7.559 1.059
Ge 0.000 9.083 3.176
Ge 0.000 12.477 1.059
Ge 2.130 0.762 3.176
Ge 2.130 4.156 1.059
Ge 2.130 12.486 3.176
Ge 2.130 15.880 1.059
```

Main lines, sorted by position (5 to 70 degrees two-theta):
- 30.24 deg, d = 2.956 Å, I 20
- 33.94 deg, d = 2.641 Å, I 100
- 34.19 deg, d = 2.623 Å, I 35
- 38.81 deg, d = 2.320 Å, I 29
- 42.43 deg, d = 2.130 Å, I 29
- 42.70 deg, d = 2.118 Å, I 28
- 54.06 deg, d = 1.696 Å, I 13
- 55.79 deg, d = 1.648 Å, I 17
- 58.85 deg, d = 1.569 Å, I 17
- 61.77 deg, d = 1.502 Å, I 18

=====

No. 3
Calculated X-ray diffraction stick pattern of CoNiGe for Cu Kα, from a structure optimized by DFT (PBE).

Crystal structure
```
6
Lattice="3.994 0.000 0.000 -1.997 3.459 0.000 0.000 0.000 5.082" Properties=species:S:1:pos:R:3 pbc="T T T"
Co 0.000 0.000 0.000
Co 0.000 0.000 2.541
Ni 0.000 2.306 1.271
Ni 1.997 1.153 3.812
Ge 0.000 2.306 3.812
Ge 1.997 1.153 1.271
```

Main lines, sorted by position (5 to 70 degrees two-theta):
- 25.76 deg, d = 3.459 Å, I 1
- 31.28 deg, d = 2.860 Å, I 1
- 35.32 deg, d = 2.541 Å, I 10
- 44.23 deg, d = 2.048 Å, I 92
- 45.42 deg, d = 1.997 Å, I 100
- 58.81 deg, d = 1.570 Å, I 14
- 65.26 deg, d = 1.430 Å, I 27

=====

No. 4
Calculated X-ray diffraction stick pattern of CoNiGe for Cu Kα, from a structure optimized by DFT (PBE).

Crystal structure
```
6
Lattice="4.010 0.000 0.000 -2.005 3.473 0.000 0.000 0.000 5.033" Properties=species:S:1:pos:R:3 pbc="T T T"
Co 0.000 2.315 1.258
Co 2.005 1.158 3.774
Ni 0.000 0.000 0.000
Ni 0.000 0.000 2.516
Ge 0.000 2.315 3.774
Ge 2.005 1.158 1.258
```

Main lines, sorted by position (5 to 70 degrees two-theta):
- 31.29 deg, d = 2.858 Å, I 2
- 35.68 deg, d = 2.516 Å, I 8
- 44.46 deg, d = 2.038 Å, I 92
- 45.22 deg, d = 2.005 Å, I 100
- 58.89 deg, d = 1.568 Å, I 11
- 65.29 deg, d = 1.429 Å, I 27

=====

No. 5
Calculated X-ray diffraction stick pattern of UCoNiGe2 for Cu Kα, from a structure optimized by DFT (PBE).

Crystal structure
```
10
Lattice="4.204 0.000 0.000 0.000 4.204 0.000 0.000 0.000 10.478" Properties=species:S:1:pos:R:3 pbc="T T T"
U 1.051 1.051 1.871
U 3.153 3.153 8.608
Co 1.051 3.153 0.000
Co 3.153 1.051 0.000
Ni 1.051 1.051 4.170
Ni 3.153 3.153 6.309
Ge 1.051 1.051 9.079
Ge 1.051 3.153 5.239
Ge 3.153 1.051 5.239
Ge 3.153 3.153 1.400
```

Main lines, sorted by position (5 to 70 degrees two-theta):
- 8.44 deg, d = 10.478 Å, I 44
- 22.79 deg, d = 3.902 Å, I 100
- 25.50 deg, d = 3.493 Å, I 41
- 30.06 deg, d = 2.973 Å, I 38
- 34.70 deg, d = 2.585 Å, I 73
- 39.82 deg, d = 2.264 Å, I 42
- 40.58 deg, d = 2.223 Å, I 38
- 43.03 deg, d = 2.102 Å, I 70
- 46.19 deg, d = 1.965 Å, I 44
- 49.24 deg, d = 1.850 Å, I 27

=====

No. 6
Calculated X-ray diffraction stick pattern of UCoNiGe2 for Cu Kα, from a structure optimized by DFT (PBE).

Crystal structure
```
10
Lattice="4.101 0.000 0.000 0.000 4.101 0.000 0.000 0.000 9.595" Properties=species:S:1:pos:R:3 pbc="T T T"
U 1.025 1.025 2.372
U 3.076 3.076 7.224
Co 1.025 1.025 6.002
Co 3.076 3.076 3.594
Ni 1.025 3.076 0.000
Ni 3.076 1.025 0.000
Ge 1.025 1.025 8.319
Ge 1.025 3.076 4.798
Ge 3.076 1.025 4.798
Ge 3.076 3.076 1.276
```

Main lines, sorted by position (5 to 70 degrees two-theta):
- 23.59 deg, d = 3.771 Å, I 32
- 30.84 deg, d = 2.900 Å, I 27
- 35.60 deg, d = 2.522 Å, I 74
- 36.20 deg, d = 2.482 Å, I 100
- 44.17 deg, d = 2.050 Å, I 52
- 52.66 deg, d = 1.738 Å, I 27
- 57.97 deg, d = 1.591 Å, I 36
- 59.29 deg, d = 1.559 Å, I 9
- 64.24 deg, d = 1.450 Å, I 17
- 66.80 deg, d = 1.400 Å, I 14

=====

No. 7
Calculated X-ray diffraction stick pattern of UCoNiGe2 for Cu Kα, from a structure optimized by DFT (PBE).

Crystal structure
```
10
Lattice="3.981 0.000 0.000 0.000 3.981 0.000 0.000 0.000 9.891" Properties=species:S:1:pos:R:3 pbc="T T T"
U 0.000 0.000 0.000
U 1.990 1.990 4.946
Co 0.000 1.990 7.418
Co 1.990 0.000 2.473
Ni 0.000 1.990 2.473
Ni 1.990 0.000 7.418
Ge 0.000 0.000 3.729
Ge 0.000 0.000 6.162
Ge 1.990 1.990 1.217
Ge 1.990 1.990 8.675
```

Main lines, sorted by position (5 to 70 degrees two-theta):
- 17.94 deg, d = 4.946 Å, I 11
- 24.10 deg, d = 3.693 Å, I 31
- 31.79 deg, d = 2.815 Å, I 36
- 35.35 deg, d = 2.539 Å, I 94
- 36.74 deg, d = 2.446 Å, I 100
- 45.57 deg, d = 1.990 Å, I 54
- 51.59 deg, d = 1.772 Å, I 34
- 58.96 deg, d = 1.567 Å, I 44
- 65.63 deg, d = 1.423 Å, I 17
- 66.42 deg, d = 1.407 Å, I 17

=====

No. 8
Calculated X-ray diffraction stick pattern of UCoNiGe2 for Cu Kα, from a structure optimized by DFT (PBE).

Crystal structure
```
10
Lattice="4.128 0.000 0.000 0.000 4.128 0.000 0.000 0.000 9.308" Properties=species:S:1:pos:R:3 pbc="T T T"
U 1.032 1.032 2.201
U 3.096 3.096 7.107
Co 1.032 3.096 0.000
Co 3.096 1.032 0.000
Ni 1.032 1.032 5.800
Ni 3.096 3.096 3.509
Ge 1.032 1.032 8.084
Ge 1.032 3.096 4.654
Ge 3.096 1.032 4.654
Ge 3.096 3.096 1.224
```

Main lines, sorted by position (5 to 70 degrees two-theta):
- 23.58 deg, d = 3.774 Å, I 33
- 30.63 deg, d = 2.919 Å, I 31
- 36.22 deg, d = 2.480 Å, I 74
- 36.33 deg, d = 2.473 Å, I 100
- 43.86 deg, d = 2.064 Å, I 56
- 50.39 deg, d = 1.811 Å, I 10
- 54.04 deg, d = 1.697 Å, I 24
- 58.15 deg, d = 1.587 Å, I 38
- 63.77 deg, d = 1.459 Å, I 18
- 68.49 deg, d = 1.370 Å, I 12

=====

No. 9
Calculated X-ray diffraction stick pattern of Pr2Co3Ge5 for Cu Kα, from a structure optimized by DFT (PBE).

Crystal structure
```
20
Lattice="-4.928 5.950 2.970 4.928 -5.950 2.970 4.928 5.950 -2.970" Properties=species:S:1:pos:R:3 pbc="T T T"
Pr 2.347 1.587 0.000
Pr 2.347 -1.587 2.970
Pr 2.581 7.537 0.000
Pr 2.581 4.363 2.970
Co 3.854 -4.336 2.970
Co 4.928 0.000 1.485
Co 3.854 4.336 0.000
Co 1.074 1.614 2.970
Co 0.000 5.950 1.485
Co 1.074 10.286 0.000
Ge 4.928 -2.807 1.485
Ge 6.464 1.174 0.000
Ge 0.000 0.000 1.485
Ge 1.536 4.777 0.000
Ge 4.928 2.807 1.485
Ge 0.000 3.143 1.485
Ge 3.392 1.174 2.970
Ge 0.000 0.000 4.454
Ge -1.536 4.777 2.970
Ge 0.000 8.758 1.485
```

Main lines, sorted by position (5 to 70 degrees two-theta):
- 30.07 deg, d = 2.972 Å, I 14
- 34.65 deg, d = 2.589 Å, I 52
- 35.26 deg, d = 2.545 Å, I 100
- 43.04 deg, d = 2.102 Å, I 52
- 51.18 deg, d = 1.785 Å, I 19
- 56.39 deg, d = 1.632 Å, I 23
- 57.65 deg, d = 1.599 Å, I 9
- 62.56 deg, d = 1.485 Å, I 9
- 64.85 deg, d = 1.438 Å, I 12
- 69.07 deg, d = 1.360 Å, I 8

=====

No. 10
Calculated X-ray diffraction stick pattern of PrCoGe for Cu Kα, from a structure optimized by DFT (PBE).

Crystal structure
```
6
Lattice="4.160 0.000 0.000 0.000 4.160 0.000 0.000 0.000 6.981" Properties=species:S:1:pos:R:3 pbc="T T T"
Pr 1.040 1.040 1.314
Pr 3.120 3.120 5.667
Co 1.040 3.120 3.490
Co 3.120 1.040 3.490
Ge 1.040 1.040 4.755
Ge 3.120 3.120 2.226
```

Main lines, sorted by position (5 to 70 degrees two-theta):
- 12.68 deg, d = 6.981 Å, I 17
- 24.92 deg, d = 3.574 Å, I 31
- 30.39 deg, d = 2.942 Å, I 56
- 33.04 deg, d = 2.711 Å, I 27
- 33.51 deg, d = 2.674 Å, I 90
- 40.09 deg, d = 2.249 Å, I 100
- 43.51 deg, d = 2.080 Å, I 68
- 56.01 deg, d = 1.642 Å, I 41
- 57.24 deg, d = 1.609 Å, I 36
- 63.22 deg, d = 1.471 Å, I 22

=====

No. 11
Calculated X-ray diffraction stick pattern of Pr3CoGe2 for Cu Kα, from a structure optimized by DFT (PBE).

Crystal structure
```
24
Lattice="12.011 0.000 0.000 0.000 4.273 0.000 0.000 0.000 11.695" Properties=species:S:1:pos:R:3 pbc="T T T"
Pr 0.657 1.068 1.525
Pr 1.448 3.205 6.502
Pr 2.625 1.068 9.351
Pr 3.380 3.205 3.504
Pr 4.557 1.068 0.655
Pr 5.348 3.205 7.372
Pr 6.662 1.068 4.323
Pr 7.454 3.205 11.040
Pr 8.630 1.068 8.191
Pr 9.386 3.205 2.343
Pr 10.562 1.068 5.192
Pr 11.354 3.205 10.170
Co 1.617 1.068 4.297
Co 4.388 3.205 10.144
Co 7.622 1.068 1.551
Co 10.394 3.205 7.398
Ge 0.314 3.205 3.723
Ge 2.325 3.205 11.627
Ge 3.681 1.068 5.780
Ge 5.692 1.068 9.570
Ge 6.319 3.205 2.124
Ge 8.330 3.205 5.915
Ge 9.686 1.068 0.067
Ge 11.697 1.068 7.971
```

Main lines, sorted by position (5 to 70 degrees two-theta):
- 26.71 deg, d = 3.337 Å, I 40
- 26.99 deg, d = 3.303 Å, I 43
- 29.87 deg, d = 2.992 Å, I 65
- 30.74 deg, d = 2.908 Å, I 39
- 31.05 deg, d = 2.880 Å, I 100
- 31.53 deg, d = 2.837 Å, I 84
- 34.31 deg, d = 2.614 Å, I 88
- 37.40 deg, d = 2.404 Å, I 45
- 42.30 deg, d = 2.137 Å, I 66
- 49.40 deg, d = 1.845 Å, I 39

=====

No. 12
Calculated X-ray diffraction stick pattern of Pr2CoGe3 for Cu Kα, from a structure optimized by DFT (PBE).

Crystal structure
```
6
Lattice="4.249 0.000 0.000 -2.125 3.680 0.000 0.000 0.000 8.408" Properties=species:S:1:pos:R:3 pbc="T T T"
Pr 0.000 0.000 1.949
Pr 0.000 0.000 6.458
Co 2.125 1.227 0.000
Ge 0.000 2.453 0.000
Ge 0.000 2.453 4.204
Ge 2.125 1.227 4.204
```

Main lines, sorted by position (5 to 70 degrees two-theta):
- 24.19 deg, d = 3.680 Å, I 11
- 32.33 deg, d = 2.769 Å, I 100
- 40.46 deg, d = 2.230 Å, I 2
- 42.55 deg, d = 2.125 Å, I 43
- 43.03 deg, d = 2.102 Å, I 13
- 49.54 deg, d = 1.840 Å, I 2
- 49.97 deg, d = 1.825 Å, I 2
- 54.44 deg, d = 1.686 Å, I 22
- 60.54 deg, d = 1.529 Å, I 2
- 62.12 deg, d = 1.494 Å, I 25

=====

No. 13
Calculated X-ray diffraction stick pattern of Pr2Co3Ge5 for Cu Kα, from a structure optimized by DFT (PBE).

Crystal structure
```
20
Lattice="5.687 -5.988 0.000 5.687 5.988 0.000 -2.976 0.000 5.091" Properties=species:S:1:pos:R:3 pbc="T T T"
Pr 1.970 1.635 1.195
Pr 0.483 -1.635 3.740
Pr 7.917 1.635 1.350
Pr 6.429 -1.635 3.895
Co 3.381 4.336 1.963
Co 6.506 4.336 0.582
Co 4.944 0.032 1.273
Co 3.456 -0.032 3.818
Co 1.893 -4.336 4.509
Co 5.018 -4.336 3.127
Ge 3.456 5.926 3.818
Ge 1.357 1.140 4.250
Ge 3.456 2.766 3.818
Ge 4.944 2.668 1.273
Ge 2.845 -1.140 1.705
Ge 5.555 1.140 3.386
Ge 3.456 -2.668 3.818
Ge 4.944 -2.766 1.273
Ge 7.043 -1.140 0.841
Ge 4.944 -5.926 1.273
```

Main lines, sorted by position (5 to 70 degrees two-theta):
- 34.54 deg, d = 2.596 Å, I 45
- 34.93 deg, d = 2.568 Å, I 61
- 35.10 deg, d = 2.556 Å, I 92
- 35.26 deg, d = 2.545 Å, I 59
- 35.78 deg, d = 2.510 Å, I 49
- 36.60 deg, d = 2.455 Å, I 18
- 43.06 deg, d = 2.101 Å, I 100
- 51.11 deg, d = 1.787 Å, I 18
- 56.34 deg, d = 1.633 Å, I 20
- 63.07 deg, d = 1.474 Å, I 20